[1]
# KNbAg2Se4
Theoretical powder X-ray diffraction pattern, Cu Kα (λ = 1.5418 Å). Input: a cell relaxed with GGA-PBE.

Most intense lines, 5 to 70 degrees two-theta, in order of rising 2θ:
d (Å)	2θ (°)	I/Imax	index
9.982	8.86	46	0 2 0
6.393	13.85	100	1 2 0
5.867	15.10	30	0 1 1
3.395	26.25	72	2 1 1
3.347	26.63	43	0 5 1
2.767	32.36	19	1 2 2
2.495	35.99	21	0 8 0
2.214	40.76	87	2 4 2
2.081	43.49	26	4 0 0
1.983	45.75	19	2 6 2

Structural model:
Lattice parameters (Å, degrees): 8.324 19.964 6.139 90.00 90.00 90.00
Space group Ama2 (No. 40)
Asymmetric unit:
K1 0.250 0.182 0.000 (multiplicity 4)
Nb1 0.250 0.387 0.734 (multiplicity 4)
Ag1 0.000 0.000 0.270 (multiplicity 4)
Ag2 0.250 0.385 0.234 (multiplicity 4)
Se1 0.004 0.381 0.958 (multiplicity 8)
Se2 0.250 0.286 0.517 (multiplicity 4)
Se3 0.250 0.490 0.500 (multiplicity 4)



[2]
# TiTc2Mo
Theoretical powder X-ray diffraction pattern, Cu Kα (λ = 1.5418 Å). Input: a cell relaxed with GGA-PBE.

Most intense lines, 5 to 70 degrees two-theta, in order of rising 2θ:
d (Å)	2θ (°)	I/Imax	index
3.598	24.74	5	1 1 1
3.116	28.65	3	2 0 0
2.203	40.96	100	2 2 0
1.879	48.44	3	3 1 1
1.799	50.74	1	2 2 2
1.558	59.31	16	4 0 0
1.430	65.25	1	3 3 1
1.394	67.17	1	4 2 0

Structural model:
Lattice parameters (Å, degrees): 6.232 6.232 6.232 90.00 90.00 90.00
Space group Fm-3m (No. 225)
Asymmetric unit:
Ti1 0.000 0.000 0.000 (multiplicity 4)
Tc1 0.250 0.250 0.250 (multiplicity 8)
Mo1 0.000 0.000 0.500 (multiplicity 4)



[3]
# YMg14CuO16
Theoretical powder X-ray diffraction pattern, Cu Kα (λ = 1.5418 Å). Input: a cell relaxed with GGA-PBE.

Most intense lines, 5 to 70 degrees two-theta, in order of rising 2θ:
d (Å)	2θ (°)	I/Imax	index
8.671	10.20	45	0 1 0
4.344	20.44	27	0 0 2
2.891	30.94	28	0 3 0
2.504	35.87	67	1 2 2
2.177	41.49	100	0 0 4
2.168	41.67	99	0 4 0
2.160	41.81	100	2 0 0
1.536	60.26	56	0 4 4
1.533	60.37	57	2 0 4
1.530	60.51	57	2 4 0

Structural model:
Lattice parameters (Å, degrees): 4.321 8.670 8.706 90.00 90.00 90.00
Space group Pmmm (No. 47)
Asymmetric unit:
Y1 0.000 0.000 0.000 (multiplicity 1)
Mg1 0.000 0.254 0.262 (multiplicity 4)
Mg2 0.000 0.500 0.000 (multiplicity 1)
Mg3 0.000 0.500 0.500 (multiplicity 1)
Mg4 0.500 0.000 0.269 (multiplicity 2)
Mg5 0.500 0.248 0.500 (multiplicity 2)
Mg6 0.500 0.262 0.000 (multiplicity 2)
Mg7 0.500 0.500 0.254 (multiplicity 2)
Cu1 0.000 0.000 0.500 (multiplicity 1)
O1 0.000 0.000 0.250 (multiplicity 2)
O2 0.000 0.260 0.000 (multiplicity 2)
O3 0.000 0.269 0.500 (multiplicity 2)
O4 0.000 0.500 0.247 (multiplicity 2)
O5 0.500 0.000 0.000 (multiplicity 1)
O6 0.500 0.000 0.500 (multiplicity 1)
O7 0.500 0.249 0.249 (multiplicity 4)
O8 0.500 0.500 0.000 (multiplicity 1)
O9 0.500 0.500 0.500 (multiplicity 1)



[4]
# FeSe
Theoretical powder X-ray diffraction pattern, Cu Kα (λ = 1.5418 Å). Input: a cell relaxed with GGA-PBE.

Most intense lines, 5 to 70 degrees two-theta, in order of rising 2θ:
d (Å)	2θ (°)	I/Imax	index
7.140	12.40	97	0 0 1
3.085	28.94	100	1 1 1
2.532	35.45	18	0 2 1
2.206	40.91	29	2 0 0
2.158	41.87	54	0 2 2
1.954	46.48	26	1 1 3
1.786	51.16	18	0 0 4
1.627	56.57	15	1 3 1
1.543	59.97	36	2 2 2
1.388	67.48	15	2 0 4

Structural model:
Lattice parameters (Å, degrees): 4.412 5.416 7.140 90.00 90.00 90.00
Space group Cmme (No. 67)
Asymmetric unit:
Fe1 0.000 0.000 0.000 (multiplicity 4)
Se1 0.000 0.250 0.256 (multiplicity 4)



[5]
# GaAsO4
Theoretical powder X-ray diffraction pattern, Cu Kα (λ = 1.5418 Å). Input: a cell relaxed with GGA-PBE.

Most intense lines, 5 to 70 degrees two-theta, in order of rising 2θ:
d (Å)	2θ (°)	I/Imax	index
3.797	23.43	19	3 1 -2
3.045	29.33	100	5 1 -2
2.805	31.90	33	0 2 2
2.403	37.43	42	6 0 0
2.327	38.69	11	3 1 2
2.116	42.72	13	8 0 -2
1.887	48.21	13	4 2 2
1.637	56.19	30	1 3 -4
1.635	56.27	29	10 0 -4
1.388	67.46	11	9 3 0

Structural model:
Lattice parameters (Å, degrees): 16.964 8.312 8.933 90.00 121.66 90.00
Space group C2 (No. 5)
Asymmetric unit:
Ga1 0.000 0.000 0.000 (multiplicity 2)
Ga2 0.008 0.333 0.258 (multiplicity 4)
Ga3 0.148 0.546 0.652 (multiplicity 4)
Ga4 0.178 0.878 0.426 (multiplicity 4)
Ga5 0.184 0.872 0.938 (multiplicity 4)
As1 0.000 0.999 0.500 (multiplicity 2)
As2 0.006 0.695 0.254 (multiplicity 4)
As3 0.156 0.537 0.153 (multiplicity 4)
As4 0.165 0.199 0.676 (multiplicity 4)
As5 0.169 0.188 0.174 (multiplicity 4)
O1 0.042 0.528 0.687 (multiplicity 4)
O2 0.056 0.531 0.182 (multiplicity 4)
O3 0.056 0.851 0.687 (multiplicity 4)
O4 0.057 0.167 0.677 (multiplicity 4)
O5 0.059 0.850 0.195 (multiplicity 4)
O6 0.062 0.177 0.181 (multiplicity 4)
O7 0.107 0.698 0.974 (multiplicity 4)
O8 0.110 0.030 0.507 (multiplicity 4)
O9 0.110 0.706 0.470 (multiplicity 4)
O10 0.113 0.350 0.505 (multiplicity 4)
O11 0.113 0.362 0.006 (multiplicity 4)
O12 0.117 0.033 0.003 (multiplicity 4)
O13 0.207 0.362 0.830 (multiplicity 4)
O14 0.211 0.371 0.328 (multiplicity 4)
O15 0.225 0.690 0.329 (multiplicity 4)
O16 0.226 0.700 0.835 (multiplicity 4)
O17 0.229 0.045 0.352 (multiplicity 4)
O18 0.232 0.044 0.852 (multiplicity 4)



[6]
# Mo2WS6
Theoretical powder X-ray diffraction pattern, Cu Kα (λ = 1.5418 Å). Input: a cell relaxed with GGA-PBE.

Most intense lines, 5 to 70 degrees two-theta, in order of rising 2θ:
d (Å)	2θ (°)	I/Imax	index
14.554	6.07	15	0 0 2
9.703	9.11	17	0 0 3
7.277	12.16	100	0 0 4
5.822	15.22	28	0 0 5
2.761	32.43	16	1 0 0
2.399	37.48	30	1 0 6
2.300	39.17	32	1 0 7
2.003	45.27	15	1 0 10
1.910	47.60	25	1 0 11
1.593	57.88	16	1 1 0

Structural model:
Lattice parameters (Å, degrees): 3.1878 3.1878 29.1087 90.00 90.00 120.00
Space group P-6m2 (No. 187)
Asymmetric unit:
Mo1 0.0000 0.0000 0.2313 (multiplicity 2)
W1 0.3333 0.6667 0.0000 (multiplicity 1)
S1 0.0000 0.0000 0.0541 (multiplicity 2)
S2 0.3333 0.6667 0.1775 (multiplicity 2)
S3 0.3333 0.6667 0.2852 (multiplicity 2)



[7]
# Ba2LuMgRuO6
Theoretical powder X-ray diffraction pattern, Cu Kα (λ = 1.5418 Å). Input: a cell relaxed with GGA-PBE.

Most intense lines, 5 to 70 degrees two-theta, in order of rising 2θ:
d (Å)	2θ (°)	I/Imax	index
5.077	17.47	20	1 1 0
4.538	19.56	19	1 1 -1
3.390	26.29	36	1 1 1
3.079	29.00	100	3 1 -1
3.050	29.28	49	0 2 0
2.945	30.35	37	2 0 1
2.932	30.49	82	1 1 -2
2.271	39.68	34	2 2 -2
2.119	42.68	33	2 2 1
1.767	51.75	20	3 3 -1

Structural model:
Lattice parameters (Å, degrees): 10.701 6.100 6.861 90.00 121.18 90.00
Space group Cm (No. 8)
Asymmetric unit:
Ba1 0.000 0.000 0.000 (multiplicity 2)
Ba2 0.076 0.500 0.719 (multiplicity 2)
Lu1 0.273 0.500 0.299 (multiplicity 2)
Mg1 0.349 0.000 0.031 (multiplicity 2)
Ru1 0.201 0.000 0.563 (multiplicity 2)
O1 0.033 0.000 0.563 (multiplicity 2)
O2 0.045 0.500 0.095 (multiplicity 2)
O3 0.274 0.268 0.071 (multiplicity 4)
O4 0.308 0.251 0.587 (multiplicity 4)



[8]
# KRb2InF6
Theoretical powder X-ray diffraction pattern, Cu Kα (λ = 1.5418 Å). Input: a cell relaxed with GGA-PBE.

Most intense lines, 5 to 70 degrees two-theta, in order of rising 2θ:
d (Å)	2θ (°)	I/Imax	index
5.352	16.56	34	1 0 1
3.282	27.17	100	1 1 2
3.268	27.29	54	2 0 0
2.330	38.64	22	0 0 4
2.311	38.97	40	2 2 0
1.897	47.95	22	2 0 4
1.890	48.16	43	1 3 2
1.641	56.05	25	2 2 4
1.634	56.30	12	4 0 0
1.462	63.64	20	4 2 0

Structural model:
Lattice parameters (Å, degrees): 6.537 6.537 9.321 90.00 90.00 90.00
Space group I4/m (No. 87)
Asymmetric unit:
K1 0.000 0.000 0.000 (multiplicity 2)
Rb1 0.000 0.500 0.250 (multiplicity 4)
In1 0.000 0.000 0.500 (multiplicity 2)
F1 0.000 0.000 0.274 (multiplicity 4)
F2 0.186 0.263 0.500 (multiplicity 8)